# 1
The following is a simulated powder XRD pattern of HfSi2O2. It was derived from the GGA-PBE geometry in the Materials Project, using copper Kα.
Neutral-atom scattering factors, no anomalous dispersion.

Atomic structure:
Cell lengths 9.801, 9.801, 9.801 Å; angles 125.42, 125.42, 80.85 degrees
Sites, in units of the cell vectors:
Hf  0.000  0.000  0.000
Hf  0.000  0.000  0.500
Hf  0.000  0.500  0.000
Hf  0.500  0.000  0.500
Si  0.144  0.219  0.925
Si  0.206  0.781  0.425
Si  0.219  0.144  0.425
Si  0.219  0.794  0.075
Si  0.781  0.206  0.925
Si  0.781  0.856  0.575
Si  0.794  0.219  0.575
Si  0.856  0.781  0.075
O  0.133  0.171  0.539
O  0.133  0.594  0.961
O  0.171  0.133  0.039
O  0.406  0.867  0.539
O  0.594  0.133  0.461
O  0.829  0.867  0.961
O  0.867  0.406  0.039
O  0.867  0.829  0.461

Main lines, sorted by position (10 to 80 degrees two-theta):
Position (°2θ)	d_spacing	I/Imax
11.49	7.699	100
22.91	3.881	25
23.10	3.850	24
28.08	3.178	27
36.55	2.459	13
37.17	2.419	13


# 2
The following is a simulated powder XRD pattern of Sm2Hf2O7. It was derived from the GGA-PBE geometry in the Materials Project, using copper Kα.
Neutral-atom scattering factors, no anomalous dispersion.

Atomic structure:
Cell lengths 7.517, 7.517, 7.517 Å; angles 60.00, 60.00, 60.00 degrees
Sites, in units of the cell vectors:
Sm  0.000  0.000  0.000
Sm  0.000  0.000  0.500
Sm  0.000  0.500  0.000
Sm  0.500  0.000  0.000
Hf  0.000  0.500  0.500
Hf  0.500  0.000  0.500
Hf  0.500  0.500  0.000
Hf  0.500  0.500  0.500
O  0.125  0.125  0.125
O  0.166  0.166  0.584
O  0.166  0.584  0.166
O  0.166  0.584  0.584
O  0.416  0.416  0.834
O  0.416  0.834  0.416
O  0.416  0.834  0.834
O  0.584  0.166  0.166
O  0.584  0.166  0.584
O  0.584  0.584  0.166
O  0.834  0.416  0.416
O  0.834  0.416  0.834
O  0.834  0.834  0.416
O  0.875  0.875  0.875

Main lines, sorted by position (10 to 80 degrees two-theta):
Position (°2θ)	d_spacing	I/Imax
29.10	3.069	100
33.73	2.658	36
48.44	1.879	46
57.51	1.603	45
60.32	1.534	11
78.43	1.219	18